NdCo3P2: theoretical PXRD pattern (Cu Ka), based on a cell relaxed with PBE.
Peak positions follow from Bragg's law for the DFT cell and can differ from measured ones.

Atomic structure:
```
data_NdCo3P2
_cell_length_a 3.7670
_cell_length_b 10.6600
_cell_length_c 12.4029
_cell_angle_alpha 90.00
_cell_angle_beta 90.00
_cell_angle_gamma 90.00
_symmetry_space_group_name_H-M 'P m m n'
_symmetry_Int_Tables_number 59
loop_
_symmetry_equiv_pos_as_xyz
'x,y,z'
'-x,-y,-z'
'-x+1/2,-y+1/2,z'
'x+1/2,y+1/2,-z'
'x+1/2,-y,-z'
'-x+1/2,y,z'
'-x,y+1/2,-z'
'x,-y+1/2,z'
loop_
_atom_site_label
_atom_site_type_symbol
_atom_site_fract_x
_atom_site_fract_y
_atom_site_fract_z
Nd1 Nd 0.2500 0.0688 0.2059
Nd2 Nd 0.2500 0.2500 0.4789
Co1 Co 0.2500 0.1316 0.7102
Co2 Co 0.2500 0.2500 0.0091
Co3 Co 0.2500 0.5461 0.4304
Co4 Co 0.2500 0.5830 0.9975
Co5 Co 0.2500 0.7500 0.1578
Co6 Co 0.2500 0.7500 0.7055
P1 P 0.2500 0.0976 0.8941
P2 P 0.2500 0.5571 0.6139
P3 P 0.2500 0.7500 0.3399
P4 P 0.2500 0.7500 0.8876
```

Main lines, low angle first (2θ from 10° to 90°):
29.9°, I 12.0, hkl 1 2 1; 33.3°, I 15.7, hkl 0 3 3; 35.5°, I 8.9, hkl 1 3 1; 37.6°, I 36.2, hkl 1 0 4; 37.7°, I 100.0, hkl 1 3 2; 38.5°, I 19.3, hkl 1 1 4; 40.1°, I 16.0, hkl 0 2 5; 48.3°, I 27.8, hkl 2 0 0; 51.1°, I 15.8, hkl 0 3 6; 51.4°, I 11.8, hkl 0 6 0; 73.0°, I 11.1, hkl 2 3 6; 83.0°, I 9.3, hkl 3 3 2